(1)
Ca3Ge2Au9: computed powder diffractogram (CuKα), based on a DFT-relaxed cell (PBE, the Materials Project).

Cell and atoms:
Lattice parameters (Å, degrees): 9.6525 13.4363 4.5610 90.00 90.00 90.00
Space group Pnnm (No. 58)
Unique sites:
1 Ca 0.0000 0.0000 0.0000 (multiplicity 2)
2 Ca 0.0036 0.3115 0.0000 (multiplicity 4)
3 Ge 0.1526 0.1819 0.5000 (multiplicity 4)
4 Au 0.0000 0.5000 0.5000 (multiplicity 2)
5 Au 0.1068 0.8396 0.5000 (multiplicity 4)
6 Au 0.2011 0.5040 0.0000 (multiplicity 4)
7 Au 0.2218 0.3672 0.5000 (multiplicity 4)
8 Au 0.2388 0.6344 0.5000 (multiplicity 4)

Top 8 peaks for 15 to 90 degrees two-theta, low angle first:
(hkl), 2θ/deg, I/Imax
2 0 0, 18.38, 32
1 3 0, 21.88, 22
2 3 1, 33.64, 100
3 2 1, 36.71, 25
0 0 2, 39.52, 41
0 6 0, 40.27, 19
2 5 1, 43.35, 23
3 4 1, 43.72, 22

(2)
BaY3Br11: computed powder diffractogram (CuKα), based on a DFT-relaxed cell (PBE, the Materials Project).

Cell and atoms:
Lattice parameters (Å, degrees): 10.8895 5.6603 20.4413 90.00 90.00 90.00
Space group Pmma (No. 51)
Unique sites:
1 Ba 0.2500 0.0000 0.0100 (multiplicity 2)
2 Y 0.0000 0.0000 0.5000 (multiplicity 2)
3 Y 0.0013 0.0000 0.7633 (multiplicity 4)
4 Br 0.0000 0.5000 0.5000 (multiplicity 2)
5 Br 0.0020 0.5000 0.7613 (multiplicity 4)
6 Br 0.0352 0.0000 0.8991 (multiplicity 4)
7 Br 0.0727 0.0000 0.3685 (multiplicity 4)
8 Br 0.2500 0.0000 0.2027 (multiplicity 2)
9 Br 0.2500 0.0000 0.5367 (multiplicity 2)
10 Br 0.2500 0.0000 0.7269 (multiplicity 2)
11 Br 0.2500 0.5000 0.0626 (multiplicity 2)

Top 8 peaks for 15 to 90 degrees two-theta, low angle first:
(hkl), 2θ/deg, I/Imax
0 1 0, 15.66, 100
0 0 4, 17.35, 43
2 1 4, 28.68, 49
0 0 7, 30.57, 31
0 2 0, 31.61, 81
4 0 0, 32.90, 41
4 2 0, 46.27, 31
4 2 4, 49.76, 31